[1]
# BaZn2SiRh
Computed powder diffractogram, Cu Ka. Input: DFT lattice parameters and positions (GGA-PBE).
Peak positions follow from Bragg's law for the DFT cell and can differ from measured ones.

Peak list (12 most intense, 2θ = 5–70°, sorted by position)
(hkl)	2θ (°)	Rel. int.
0 0 1	19.18	10
1 1 0	25.54	19
1 0 1	26.41	100
1 1 1	32.14	54
2 0 0	36.44	82
0 0 2	38.92	34
2 1 1	45.56	45
2 2 0	52.48	28
2 0 2	54.37	50
3 0 1	59.69	10
3 1 1	62.89	15
2 2 2	67.23	26

Structural model:
Unit cell a=4.9315 b=4.9315 c=4.6286 alpha=90.00 beta=90.00 gamma=90.00
Fractional coordinates of all 5 atoms:
Ba 0.0000 0.0000 0.0000
Zn 0.0000 0.5000 0.5000
Zn 0.5000 0.0000 0.5000
Si 0.5000 0.5000 0.0000
Rh 0.5000 0.5000 0.5000

---

[2]
# Ba8SnRh2
Computed powder diffractogram, Cu Ka. Input: DFT lattice parameters and positions (GGA-PBE).
Peak positions follow from Bragg's law for the DFT cell and can differ from measured ones.

Peak list (12 most intense, 2θ = 5–70°, sorted by position)
(hkl)	2θ (°)	Rel. int.
0 2 1	18.37	18
0 2 2	21.25	29
1 1 -1	21.68	16
2 0 0	22.95	25
1 -2 0	24.18	100
2 0 2	31.47	36
0 4 2	37.24	50
3 2 0	41.05	35
2 4 2	44.16	17
1 0 4	44.88	15
3 4 4	56.62	15
3 6 2	69.69	12

Structural model:
Unit cell a=7.7509 b=9.6499 c=9.6507 alpha=60.14 beta=89.86 gamma=89.88
Fractional coordinates of all 11 atoms:
Ba 0.2485 0.3336 0.3332
Ba 0.2504 0.3431 0.8288
Ba 0.2504 0.8279 0.3432
Ba 0.2504 0.8291 0.8279
Ba 0.7496 0.1709 0.1721
Ba 0.7496 0.1721 0.6568
Ba 0.7496 0.6569 0.1712
Ba 0.7515 0.6664 0.6668
Sn 0.5000 0.0000 0.0000
Rh 0.3831 0.6663 0.6663
Rh 0.6169 0.3337 0.3337

---

[3]
# BaSnRh2
Computed powder diffractogram, Cu Ka. Input: DFT lattice parameters and positions (GGA-PBE).
Peak positions follow from Bragg's law for the DFT cell and can differ from measured ones.

Peak list (12 most intense, 2θ = 5–70°, sorted by position)
(hkl)	2θ (°)	Rel. int.
0 0 1	13.99	44
1 1 1	27.40	25
0 1 2	31.02	65
1 0 2	34.58	25
1 2 1	35.45	100
2 0 0	39.86	37
1 2 2	43.47	15
1 3 1	46.16	34
2 1 2	51.35	32
1 2 3	54.73	14
1 3 3	62.91	22
3 2 1	69.52	14

Structural model:
Unit cell a=4.5232 b=6.9796 c=6.3312 alpha=90.00 beta=90.00 gamma=90.00
Fractional coordinates of all 8 atoms:
Ba 0.2500 0.2500 0.1407
Ba 0.7500 0.7500 0.8593
Sn 0.2500 0.7500 0.3566
Sn 0.7500 0.2500 0.6434
Rh 0.2500 0.0478 0.6294
Rh 0.2500 0.4522 0.6294
Rh 0.7500 0.5478 0.3706
Rh 0.7500 0.9522 0.3706

---

[4]
# Ba3Sn5Rh6
Computed powder diffractogram, Cu Ka. Input: DFT lattice parameters and positions (GGA-PBE).
Peak positions follow from Bragg's law for the DFT cell and can differ from measured ones.

Peak list (12 most intense, 2θ = 5–70°, sorted by position)
(hkl)	2θ (°)	Rel. int.
0 0 2	15.36	13
1 0 3	30.76	73
1 3 2	32.49	100
2 0 0	40.60	38
0 6 0	40.76	26
1 3 4	42.58	28
0 3 5	44.24	21
2 3 3	51.81	16
1 6 3	51.91	17
1 3 6	56.09	19
2 6 0	58.89	18
2 3 5	61.64	15

Structural model:
Unit cell a=4.4443 b=13.2817 c=11.5411 alpha=90.00 beta=90.00 gamma=90.00
Fractional coordinates of all 28 atoms:
Ba 0.2500 0.1000 0.2380
Ba 0.2500 0.4000 0.2380
Ba 0.2500 0.7500 0.2469
Ba 0.7500 0.2500 0.7531
Ba 0.7500 0.6000 0.7620
Ba 0.7500 0.9000 0.7620
Sn 0.2500 0.0716 0.6395
Sn 0.2500 0.4284 0.6395
Sn 0.2500 0.6134 0.9978
Sn 0.2500 0.7500 0.5924
Sn 0.2500 0.8866 0.9978
Sn 0.7500 0.1134 0.0022
Sn 0.7500 0.2500 0.4076
Sn 0.7500 0.3866 0.0022
Sn 0.7500 0.5716 0.3605
Sn 0.7500 0.9284 0.3605
Rh 0.2500 0.0642 0.8800
Rh 0.2500 0.2500 0.5278
Rh 0.2500 0.2500 0.9925
Rh 0.2500 0.4358 0.8800
Rh 0.2500 0.5773 0.4859
Rh 0.2500 0.9227 0.4859
Rh 0.7500 0.0773 0.5141
Rh 0.7500 0.4227 0.5141
Rh 0.7500 0.5642 0.1200
Rh 0.7500 0.7500 0.0075
Rh 0.7500 0.7500 0.4722
Rh 0.7500 0.9358 0.1200